Diffraction record for Er2C. The powder X-ray diffraction pattern is simulated, not measured: it uses a crystal structure in Alexandria, relaxed with PBE and Cu Kα (weighted mean of Kα1 and Kα2).
Kinematic intensities with the Lorentz-polarization factor, no thermal factor.

Main lines, low angle first (2θ = 10–80°):
2theta  I_rel
14.67  11
29.58  32
30.63  100
35.21  76
49.97  23
51.32  27
59.15  11
60.36  26
60.96  15
63.77  13

Crystal structure
Cell: 6.3792 6.3792 6.3792 Å, 32.41 32.41 32.41°
Element x y z (fractional)
Er 0.2401 0.2401 0.2401
Er 0.7599 0.7599 0.7599
C 0.5000 0.5000 0.5000